# Nd6Tl3Zn
Simulated PXRD pattern, Cu Ka. Input: a cell relaxed with PBE.
Peak positions follow from Bragg's law for the DFT cell and can differ from measured ones.

Cell: 9.556 5.422 12.040 Å, 90.00 107.33 90.00°
Space group P2_1/m (No. 11)
Unique sites:
Nd: 0.026 0.250 0.406 (multiplicity 2)
Nd: 0.168 0.750 0.174 (multiplicity 2)
Nd: 0.265 0.250 0.003 (multiplicity 2)
Nd: 0.362 0.750 0.826 (multiplicity 2)
Nd: 0.369 0.250 0.346 (multiplicity 2)
Nd: 0.404 0.250 0.625 (multiplicity 2)
Tl: 0.032 0.750 0.885 (multiplicity 2)
Tl: 0.127 0.250 0.723 (multiplicity 2)
Tl: 0.270 0.750 0.471 (multiplicity 2)
Zn: 0.458 0.750 0.103 (multiplicity 2)

The 10 most intense peaks (2θ from 10° to 90°), by angle:
Position (°2θ)  Rel. int.
30.46  126
31.47  362
32.43  1000
32.62  942
33.04  580
35.66  189
46.28  250
47.05  162
58.63  187
58.72  345

***

# Nd8Tl5Zn
Simulated PXRD pattern, Cu Ka. Input: a cell relaxed with PBE.
Peak positions follow from Bragg's law for the DFT cell and can differ from measured ones.

Cell: 9.548 9.548 9.585 Å, 90.00 90.00 90.00°
Space group I-4 (No. 82)
Unique sites:
Nd: 0.073 0.315 0.451 (multiplicity 8)
Nd: 0.075 0.175 0.797 (multiplicity 8)
Tl: 0.000 0.500 0.750 (multiplicity 2)
Tl: 0.121 0.251 0.123 (multiplicity 8)
Zn: 0.000 0.000 0.500 (multiplicity 2)

The 10 most intense peaks (2θ from 10° to 90°), by angle:
Position (°2θ)  Rel. int.
22.78  151
29.52  874
29.58  573
35.11  1000
42.31  181
44.44  181
46.54  207
48.58  190
59.67  291
62.97  141

***

# NdTm
Simulated PXRD pattern, Cu Ka. Input: a cell relaxed with PBE.
Peak positions follow from Bragg's law for the DFT cell and can differ from measured ones.

Cell: 4.039 4.039 4.039 Å, 90.00 90.00 90.00°
Space group Pm-3m (No. 221)
Unique sites:
Nd: 0.000 0.000 0.000 (multiplicity 1)
Tm: 0.500 0.500 0.500 (multiplicity 1)

The 7 most intense peaks (2θ from 10° to 90°), by angle:
Position (°2θ)  Rel. int.
22.01  6
31.32  1000
44.88  186
55.75  394
65.35  122
74.25  168
82.78  43

***

# Nd2Tm5
Simulated PXRD pattern, Cu Ka. Input: a cell relaxed with PBE.
Peak positions follow from Bragg's law for the DFT cell and can differ from measured ones.

Cell: 15.662 6.252 9.170 Å, 90.00 96.01 90.00°
Space group C2/c (No. 15)
Unique sites:
Nd: 0.073 0.168 0.108 (multiplicity 8)
Tm: 0.000 0.335 0.750 (multiplicity 4)
Tm: 0.146 0.336 0.465 (multiplicity 8)
Tm: 0.214 0.167 0.821 (multiplicity 8)

The 10 most intense peaks (2θ from 10° to 90°), by angle:
Position (°2θ)  Rel. int.
28.52  239
31.74  240
32.72  1000
43.19  156
50.54  132
57.17  204
60.83  75
60.92  150
83.54  70
87.86  70

***

# Nd4Tm5
Simulated PXRD pattern, Cu Ka. Input: a cell relaxed with PBE.
Peak positions follow from Bragg's law for the DFT cell and can differ from measured ones.

Cell: 3.578 10.736 15.124 Å, 90.00 90.00 90.00°
Space group Immm (No. 71)
Unique sites:
Nd: 0.000 0.167 0.166 (multiplicity 8)
Tm: 0.000 0.164 0.500 (multiplicity 4)
Tm: 0.000 0.500 0.163 (multiplicity 4)
Tm: 0.000 0.500 0.500 (multiplicity 2)

The 10 most intense peaks (2θ from 10° to 90°), by angle:
Position (°2θ)  Rel. int.
30.64  1000
35.48  340
35.62  167
51.05  121
51.15  240
60.72  287
60.91  142
63.79  123
83.40  117
85.93  111

***

# Nd3Tm2
Simulated PXRD pattern, Cu Ka. Input: a cell relaxed with PBE.
Peak positions follow from Bragg's law for the DFT cell and can differ from measured ones.

Cell: 6.485 16.429 6.254 Å, 90.00 90.00 90.00°
Space group Ibam (No. 72)
Unique sites:
Nd: 0.000 0.000 0.250 (multiplicity 4)
Nd: 0.102 0.401 0.000 (multiplicity 8)
Tm: 0.131 0.194 0.000 (multiplicity 8)

The 10 most intense peaks (2θ from 10° to 90°), by angle:
Position (°2θ)  Rel. int.
28.55  300
29.44  579
30.52  1000
31.55  912
32.25  245
35.85  215
38.48  228
42.26  176
52.48  220
59.08  274

***

# Nd3Tm
Simulated PXRD pattern, Cu Ka. Input: a cell relaxed with PBE.
Peak positions follow from Bragg's law for the DFT cell and can differ from measured ones.

Cell: 7.3648 7.3648 5.8426 Å, 90.00 90.00 120.00°
Space group P6_3/mmc (No. 194)
Unique sites:
Nd: 0.1679 0.3358 0.2500 (multiplicity 6)
Tm: 0.3333 0.6667 0.7500 (multiplicity 2)

The 10 most intense peaks (2θ from 10° to 90°), by angle:
Position (°2θ)  Rel. int.
27.98  236
30.60  249
31.97  1000
41.94  159
49.51  197
55.27  213
59.33  229
60.15  164
81.54  138
84.71  85

***

# Nd5Tm3
Simulated PXRD pattern, Cu Ka. Input: a cell relaxed with PBE.
Peak positions follow from Bragg's law for the DFT cell and can differ from measured ones.

Cell: 7.324 11.581 12.679 Å, 90.00 90.00 90.00°
Space group Amm2 (No. 38)
Unique sites:
Nd: 0.000 0.000 0.000 (multiplicity 2)
Nd: 0.000 0.249 0.162 (multiplicity 4)
Nd: 0.251 0.248 0.414 (multiplicity 8)
Nd: 0.253 0.000 0.747 (multiplicity 4)
Nd: 0.500 0.000 0.496 (multiplicity 2)
Tm: 0.000 0.000 0.493 (multiplicity 2)
Tm: 0.253 0.000 0.247 (multiplicity 4)
Tm: 0.500 0.000 0.000 (multiplicity 2)
Tm: 0.500 0.243 0.163 (multiplicity 4)

The 10 most intense peaks (2θ from 10° to 90°), by angle:
Position (°2θ)  Rel. int.
28.14  237
30.89  247
32.19  1000
42.27  158
49.81  197
55.76  209
59.78  151
60.56  164
82.13  138
85.53  83